For FePb2WO6, the GGA+U geometry in the Materials Project gives the calculated PXRD pattern in this record (Cu Kα).

Atomic structure:
a = 5.6709 Å, b = 5.6709 Å, c = 5.6709 Å
α = 60.00°, β = 60.00°, γ = 60.00°
Sites, in units of the cell vectors:
Fe1 0.0000 0.0000 0.0000
Pb1 0.2500 0.2500 0.2500
Pb2 0.7500 0.7500 0.7500
W1 0.5000 0.5000 0.5000
O1 0.2559 0.2559 0.7441
O2 0.2559 0.7441 0.2559
O3 0.2559 0.7441 0.7441
O4 0.7441 0.2559 0.2559
O5 0.7441 0.2559 0.7441
O6 0.7441 0.7441 0.2559

Top 10 peaks for 10° ≤ 2θ ≤ 90°, in order of rising 2θ:
| two_theta | d/Å | I_rel |
| --- | --- | --- |
| 19.2 | 4.630 | 9 |
| 22.2 | 4.010 | 5 |
| 31.6 | 2.835 | 100 |
| 37.2 | 2.418 | 5 |
| 38.9 | 2.315 | 7 |
| 45.2 | 2.005 | 27 |
| 56.2 | 1.637 | 41 |
| 65.9 | 1.418 | 17 |
| 74.9 | 1.268 | 18 |
| 83.5 | 1.158 | 6 |

For CrAgS2O8, the GGA+U geometry in the Materials Project gives the calculated PXRD pattern in this record (Cu Kα).

Atomic structure:
a = 4.8161 Å, b = 4.8161 Å, c = 7.3794 Å
α = 91.77°, β = 91.77°, γ = 65.91°
Sites, in units of the cell vectors:
Cr1 0.0000 0.0000 0.0000
Ag1 0.0000 0.0000 0.5000
S1 0.3636 0.3636 0.2134
S2 0.6364 0.6364 0.7866
O1 0.2403 0.7060 0.1972
O2 0.2434 0.2434 0.0557
O3 0.2903 0.2903 0.3904
O4 0.2940 0.7597 0.8028
O5 0.7060 0.2403 0.1972
O6 0.7097 0.7097 0.6096
O7 0.7566 0.7566 0.9443
O8 0.7597 0.2940 0.8028

Top 10 peaks for 10° ≤ 2θ ≤ 90°, in order of rising 2θ:
| two_theta | d/Å | I_rel |
| --- | --- | --- |
| 20.2 | 4.396 | 67 |
| 22.0 | 4.038 | 61 |
| 23.8 | 3.743 | 90 |
| 24.7 | 3.598 | 39 |
| 31.4 | 2.853 | 100 |
| 32.0 | 2.797 | 74 |
| 34.2 | 2.620 | 43 |
| 37.6 | 2.395 | 66 |
| 42.3 | 2.136 | 33 |
| 52.5 | 1.744 | 24 |

For Rb4MgV4Cu2P4O24, the GGA+U geometry in the Materials Project gives the calculated PXRD pattern in this record (Cu Kα).

Atomic structure:
a = 5.3498 Å, b = 9.7933 Å, c = 11.3975 Å
α = 89.44°, β = 89.75°, γ = 87.48°
Sites, in units of the cell vectors:
Rb1 0.0000 0.0000 0.0000
Rb2 0.0159 0.5242 0.1870
Rb3 0.8930 0.2982 0.4604
Rb4 0.9193 0.7265 0.6923
Mg1 0.4103 0.8958 0.7266
V1 0.3817 0.6536 0.4444
V2 0.4311 0.1636 0.7320
V3 0.5240 0.1471 0.2324
V4 0.5243 0.6474 0.9469
Cu1 0.9546 0.9070 0.3385
Cu2 0.9632 0.4012 0.8468
P1 0.4153 0.9999 0.4810
P2 0.4420 0.4846 0.6990
P3 0.4851 0.8205 0.2016
P4 0.4979 0.3164 0.9825
O1 0.0897 0.6039 0.4535
O2 0.1396 0.0176 0.4453
O3 0.1619 0.4889 0.7298
O4 0.1732 0.0682 0.7321
O5 0.3194 0.7881 0.3150
O6 0.3469 0.2672 0.8709
O7 0.3588 0.7689 0.8472
O8 0.3800 0.2598 0.3195
O9 0.4009 0.7269 0.1037
O10 0.4081 0.4644 0.0115
O11 0.4111 0.9716 0.1667
O12 0.4134 0.2193 0.0810
O13 0.4571 0.8568 0.5485
O14 0.4903 0.1133 0.5665
O15 0.4922 0.5911 0.6000
O16 0.5271 0.3381 0.6583
O17 0.5464 0.5428 0.3652
O18 0.6027 0.0109 0.3769
O19 0.6173 0.5230 0.8005
O20 0.6448 0.0444 0.7814
O21 0.7671 0.8009 0.2286
O22 0.7811 0.2983 0.9595
O23 0.8261 0.1784 0.2230
O24 0.8279 0.6701 0.9683

Top 10 peaks for 10° ≤ 2θ ≤ 90°, in order of rising 2θ:
| two_theta | d/Å | I_rel |
| --- | --- | --- |
| 20.8 | 4.270 | 30 |
| 24.2 | 3.677 | 54 |
| 24.4 | 3.647 | 47 |
| 25.3 | 3.526 | 79 |
| 26.4 | 3.376 | 34 |
| 30.2 | 2.962 | 29 |
| 30.5 | 2.931 | 100 |
| 31.4 | 2.845 | 73 |
| 31.7 | 2.819 | 51 |
| 33.5 | 2.672 | 65 |

For MgFe8O8F8, the GGA+U geometry in the Materials Project gives the calculated PXRD pattern in this record (Cu Kα).

Atomic structure:
a = 3.0957 Å, b = 9.7842 Å, c = 9.8817 Å
α = 90.47°, β = 90.08°, γ = 90.08°
Sites, in units of the cell vectors:
Mg1 0.0000 0.0000 0.0000
Fe1 0.4889 0.4826 0.2838
Fe2 0.4902 0.4778 0.7350
Fe3 0.4915 0.9975 0.3202
Fe4 0.4969 0.0262 0.7311
Fe5 0.9831 0.2813 0.9747
Fe6 0.9896 0.7352 0.4838
Fe7 0.9917 0.2586 0.5052
Fe8 0.9921 0.7072 0.9919
O1 0.4888 0.6447 0.4055
O2 0.4915 0.1535 0.4201
O3 0.4920 0.3555 0.5896
O4 0.4991 0.1118 0.9243
O5 0.9887 0.3920 0.3482
O6 0.9902 0.4138 0.8347
O7 0.9909 0.8896 0.3642
O8 0.9966 0.1073 0.6587
F1 0.4834 0.3586 0.1034
F2 0.4912 0.6434 0.8787
F3 0.4928 0.8480 0.6013
F4 0.4933 0.8565 0.0645
F5 0.9827 0.5940 0.1576
F6 0.9899 0.6080 0.6496
F7 0.9947 0.0726 0.1806
F8 0.9956 0.8862 0.8371

Top 10 peaks for 10° ≤ 2θ ≤ 90°, in order of rising 2θ:
| two_theta | d/Å | I_rel |
| --- | --- | --- |
| 25.5 | 3.491 | 95 |
| 25.7 | 3.462 | 100 |
| 34.2 | 2.621 | 91 |
| 34.3 | 2.614 | 30 |
| 38.9 | 2.316 | 22 |
| 39.0 | 2.308 | 22 |
| 50.7 | 1.800 | 17 |
| 50.9 | 1.793 | 53 |
| 52.9 | 1.731 | 16 |
| 59.7 | 1.548 | 25 |